Diffraction record for Mn3Cr5O16. The powder diffractogram is theoretical, not measured: it uses a DFT-relaxed cell (GGA+U, the Materials Project) and Cu Kα (λ = 1.5418 Å).
Neutral-atom scattering factors, no anomalous dispersion.

Structure:
```
Mn3Cr5O16
1.0
5.047 -2.906 0.000
5.047 2.906 0.000
-0.038 0.000 8.879
Mn Cr O
3 5 16
Cartesian
0.000 0.000 0.000
4.157 1.435 4.451
4.157 -1.435 4.451
1.575 0.000 6.431
4.995 0.000 2.009
7.554 1.447 0.051
6.689 0.000 4.517
7.554 -1.447 0.051
1.605 0.000 1.017
4.156 1.422 0.968
3.006 0.000 7.779
5.925 1.651 7.757
3.519 0.000 3.325
5.709 1.247 3.332
7.472 1.464 5.403
4.939 0.000 5.449
6.621 0.000 0.937
4.156 -1.422 0.968
5.709 -1.247 3.332
8.388 0.000 3.519
8.375 0.000 7.955
5.925 -1.651 7.757
7.472 -1.464 5.403
10.051 0.000 5.432
```

Peak list (10 most intense, 15° ≤ 2θ ≤ 90°, in order of rising 2θ)
2θ (°)	d [Å]	I_rel
20.0	4.439	61
20.3	4.384	100
26.8	3.327	19
37.0	2.431	35
37.1	2.423	38
41.2	2.190	35
47.4	1.916	24
63.9	1.456	29
64.1	1.453	23
64.3	1.450	18